No. 1
The following is a computed XRD peak list of Cs3MgHg4. It was derived from a crystal structure in Alexandria, relaxed with PBE, using Cu Kα (λ = 1.5418 Å).
Neutral-atom scattering factors, no anomalous dispersion.

Crystal structure
abc: 8.6712 8.6712 8.6712
angles: 122.51 80.34 129.08
Atoms (fractional coordinates):
Cs 0.0001 0.0001 0.0000
Cs 0.2158 0.5000 0.7158
Cs 0.7842 0.5000 0.2842
Mg 0.4943 0.9943 0.5000
Hg 0.2852 0.0002 0.2849
Hg 0.5001 0.3285 0.8284
Hg 0.5001 0.6717 0.1716
Hg 0.7153 0.0002 0.7151

Largest 8 diffraction maxima, by intensity, 2θ = 5–70°:
2θ = 23.87°, I 100.0
2θ = 22.78°, I 72.9
2θ = 33.23°, I 56.6
2θ = 25.23°, I 51.8
2θ = 13.63°, I 49.6
2θ = 26.91°, I 48.6
2θ = 35.01°, I 45.2
2θ = 36.28°, I 44.7

***

No. 2
The following is a computed XRD peak list of InPd3I. It was derived from a crystal structure in Alexandria, relaxed with PBE, using Cu Kα (λ = 1.5418 Å).
Neutral-atom scattering factors, no anomalous dispersion.

Crystal structure
abc: 5.0564 5.0564 5.0564
angles: 90.00 90.00 90.00
Atoms (fractional coordinates):
In 0.0000 0.0000 0.0000
Pd 0.0000 0.5000 0.5000
Pd 0.5000 0.0000 0.5000
Pd 0.5000 0.5000 0.0000
I 0.5000 0.5000 0.5000

Largest 8 diffraction maxima, by intensity, 2θ = 5–70°:
2θ = 35.51°, I 100.0
2θ = 51.09°, I 69.5
2θ = 30.62°, I 62.2
2θ = 24.90°, I 28.0
2θ = 17.54°, I 25.6
2θ = 60.75°, I 25.3
2θ = 63.76°, I 23.4
2θ = 39.87°, I 12.2

***

No. 3
The following is a computed XRD peak list of Hg3PO6. It was derived from a crystal structure in Alexandria, relaxed with PBE, using Cu Kα (λ = 1.5418 Å).
Neutral-atom scattering factors, no anomalous dispersion.

Crystal structure
abc: 5.5549 5.5549 5.7619
angles: 120.88 120.88 67.38
Atoms (fractional coordinates):
Hg 0.0000 0.0000 0.0000
Hg 0.2728 0.2728 0.7499
Hg 0.7272 0.7272 0.2501
P 0.5000 0.5000 0.5000
O 0.2336 0.6186 0.6070
O 0.2682 0.2682 0.1189
O 0.3814 0.7664 0.3930
O 0.6186 0.2336 0.6070
O 0.7318 0.7318 0.8811
O 0.7664 0.3814 0.3930

Largest 8 diffraction maxima, by intensity, 2θ = 5–70°:
2θ = 32.43°, I 100.0
2θ = 32.63°, I 81.8
2θ = 28.98°, I 64.3
2θ = 42.98°, I 48.2
2θ = 31.04°, I 44.9
2θ = 19.73°, I 26.4
2θ = 35.26°, I 24.3
2θ = 58.95°, I 23.2

***

No. 4
The following is a computed XRD peak list of CdIn2Hg4. It was derived from a crystal structure in Alexandria, relaxed with PBE, using Cu Kα (λ = 1.5418 Å).
Neutral-atom scattering factors, no anomalous dispersion.

Crystal structure
abc: 11.2751 10.0532 9.8544
angles: 68.99 56.34 54.67
Atoms (fractional coordinates):
Cd 0.0000 0.0000 0.0000
Cd 0.0000 0.0000 0.5000
Cd 0.0000 0.5000 0.0000
Cd 0.5000 0.0000 0.0000
In 0.2572 0.6444 0.3401
In 0.2583 0.3401 0.6444
In 0.3401 0.2583 0.2572
In 0.3556 0.7428 0.7417
In 0.6444 0.2572 0.2583
In 0.6599 0.7417 0.7428
In 0.7417 0.6599 0.3556
In 0.7428 0.3556 0.6599
Hg 0.0000 0.5000 0.5000
Hg 0.0099 0.7401 0.7401
Hg 0.1086 0.6414 0.1086
Hg 0.1121 0.1121 0.6379
Hg 0.2599 0.9901 0.9901
Hg 0.3586 0.8914 0.3586
Hg 0.3621 0.3621 0.8879
Hg 0.5000 0.0000 0.5000
Hg 0.5000 0.5000 0.0000
Hg 0.5000 0.5000 0.5000
Hg 0.6379 0.6379 0.1121
Hg 0.6414 0.1086 0.6414
Hg 0.7401 0.0099 0.0099
Hg 0.8879 0.8879 0.3621
Hg 0.8914 0.3586 0.8914
Hg 0.9901 0.2599 0.2599

Largest 8 diffraction maxima, by intensity, 2θ = 5–70°:
2θ = 31.76°, I 100.0
2θ = 34.03°, I 88.0
2θ = 29.96°, I 38.6
2θ = 29.14°, I 30.7
2θ = 37.48°, I 26.5
2θ = 37.91°, I 25.4
2θ = 62.28°, I 24.6
2θ = 58.05°, I 24.4

***

No. 5
The following is a computed XRD peak list of PmP2Pt3. It was derived from a crystal structure in Alexandria, relaxed with PBE, using Cu Kα (λ = 1.5418 Å).
Neutral-atom scattering factors, no anomalous dispersion.

Crystal structure
abc: 7.8689 7.8689 7.4303
angles: 116.08 116.08 30.48
Atoms (fractional coordinates):
Pm 0.1537 0.1537 0.0622
Pm 0.8463 0.8463 0.9378
P 0.1898 0.1898 0.7072
P 0.4902 0.4902 0.8373
P 0.5098 0.5098 0.1627
P 0.8102 0.8102 0.2928
Pt 0.0486 0.0486 0.3511
Pt 0.3146 0.3146 0.6088
Pt 0.3929 0.3929 0.3151
Pt 0.6071 0.6071 0.6849
Pt 0.6854 0.6854 0.3912
Pt 0.9514 0.9514 0.6489

Largest 8 diffraction maxima, by intensity, 2θ = 5–70°:
2θ = 36.05°, I 100.0
2θ = 33.28°, I 45.6
2θ = 38.71°, I 41.6
2θ = 13.39°, I 37.2
2θ = 43.77°, I 33.9
2θ = 36.66°, I 21.9
2θ = 35.78°, I 17.0
2θ = 40.93°, I 16.7

***

No. 6
The following is a computed XRD peak list of RbAl2F6. It was derived from a crystal structure in Alexandria, relaxed with PBE, using Cu Kα (λ = 1.5418 Å).
Neutral-atom scattering factors, no anomalous dispersion.

Crystal structure
abc: 4.9986 4.9986 7.9826
angles: 90.00 90.00 120.00
Atoms (fractional coordinates):
Rb 0.0000 0.0000 0.0000
Al 0.3333 0.6667 0.5000
Al 0.6667 0.3333 0.5000
F 0.0000 0.3778 0.3750
F 0.0000 0.6222 0.6250
F 0.3778 0.0000 0.3750
F 0.3778 0.3778 0.6250
F 0.6222 0.0000 0.6250
F 0.6222 0.6222 0.3750

Largest 8 diffraction maxima, by intensity, 2θ = 5–70°:
2θ = 23.38°, I 100.0
2θ = 42.68°, I 34.0
2θ = 22.27°, I 23.5
2θ = 11.08°, I 22.3
2θ = 37.72°, I 16.5
2θ = 59.25°, I 15.9
2θ = 39.76°, I 15.4
2θ = 57.50°, I 13.5